(1)
# K3Th3TiSe8
Theoretical powder diffractogram, λ = 1.5418 Å (Cu Kα). Input: a PBE-relaxed structure.

Lattice parameters (Å, degrees): 8.3215 8.3215 23.9053 90.00 90.00 120.00
Space group R-3m (No. 166, hexagonal axes)
Unique sites:
K (0.0000, 0.5000, 0.0000)
Th (0.0000, 0.5000, 0.5000)
Ti (0.0000, 0.0000, 0.5000)
Se (0.0000, 0.0000, 0.2403)
Se (0.0171, 0.5086, 0.2329)

Most intense lines, 15° ≤ 2θ ≤ 90°, in order of rising 2θ:
hkl  2θ (°)  intensity
0 2 1  24.99  19
0 2 4  28.93  100
0 2 7  36.24  29
2 0 8  39.16  37
2 2 0  43.50  34
4 0 4  53.09  18


(2)
# Dy2Si2SnRu5
Theoretical powder diffractogram, λ = 1.5418 Å (Cu Kα). Input: a PBE-relaxed structure.

Lattice parameters (Å, degrees): 10.099 10.099 3.265 90.00 90.00 90.00
Space group P4/mbm (No. 127)
Unique sites:
Dy (0.174, 0.326, 0.000)
Si (0.125, 0.625, 0.000)
Sn (0.000, 0.000, 0.000)
Ru (0.000, 0.500, 0.500)
Ru (0.068, 0.787, 0.500)

Most intense lines, 15° ≤ 2θ ≤ 90°, in order of rising 2θ:
hkl  2θ (°)  intensity
2 1 1  33.88  55
4 1 0  36.69  69
2 2 1  37.32  31
3 1 1  39.47  100
4 2 0  39.92  29
3 2 1  42.53  26


(3)
# NaPmCl3
Theoretical powder diffractogram, λ = 1.5418 Å (Cu Kα). Input: a PBE-relaxed structure.

Lattice parameters (Å, degrees): 6.756 11.007 7.691 90.00 107.93 90.00
Space group C2/m (No. 12)
Unique sites:
Na (0.226, 0.000, 0.480)
Pm (0.000, 0.293, 0.000)
Cl (0.088, 0.500, 0.796)
Cl (0.105, 0.164, 0.732)

Most intense lines, 15° ≤ 2θ ≤ 90°, in order of rising 2θ:
hkl  2θ (°)  intensity
0 2 0  16.10  44
0 2 1  20.19  100
1 3 -1  28.80  64
2 0 1  33.74  55
1 3 -2  34.39  49
2 2 -2  35.00  44


(4)
# Li4Zn15Pd
Theoretical powder diffractogram, λ = 1.5418 Å (Cu Kα). Input: a PBE-relaxed structure.

Lattice parameters (Å, degrees): 3.847 3.847 19.712 90.00 90.00 90.00
Space group P4/mmm (No. 123)
Unique sites:
Li (0.000, 0.000, 0.101)
Li (0.000, 0.000, 0.300)
Zn (0.000, 0.500, 0.000)
Zn (0.000, 0.500, 0.201)
Zn (0.000, 0.500, 0.400)
Zn (0.500, 0.500, 0.101)
Zn (0.500, 0.500, 0.301)
Zn (0.500, 0.500, 0.500)
Pd (0.000, 0.000, 0.500)

Most intense lines, 15° ≤ 2θ ≤ 90°, in order of rising 2θ:
hkl  2θ (°)  intensity
1 1 5  40.28  100
0 0 10  46.04  17
2 0 0  47.26  31
2 0 10  68.11  19
1 1 15  81.31  11
3 1 5  83.09  22


(5)
# Ce4RuRh3
Theoretical powder diffractogram, λ = 1.5418 Å (Cu Kα). Input: a PBE-relaxed structure.

Lattice parameters (Å, degrees): 3.848 3.984 11.255 90.00 90.00 90.00
Space group Pmm2 (No. 25)
Unique sites:
Ce (0.000, 0.000, 0.000)
Ce (0.000, 0.500, 0.271)
Ce (0.500, 0.000, 0.492)
Ce (0.500, 0.500, 0.771)
Ru (0.500, 0.000, 0.235)
Rh (0.000, 0.000, 0.732)
Rh (0.000, 0.500, 0.539)
Rh (0.500, 0.500, 0.038)

Most intense lines, 15° ≤ 2θ ≤ 90°, in order of rising 2θ:
hkl  2θ (°)  intensity
0 0 4  31.80  41
1 1 1  33.34  100
1 1 3  40.50  56
0 2 0  45.53  20
2 0 0  47.25  18
0 2 4  56.61  16


(6)
# Tb2Sm4Er5
Theoretical powder diffractogram, λ = 1.5418 Å (Cu Kα). Input: a PBE-relaxed structure.

Lattice parameters (Å, degrees): 19.452 5.755 6.342 90.00 94.22 90.00
Space group C2/m (No. 12)
Unique sites:
Tb (0.099, 0.000, 0.045)
Sm (0.033, 0.500, 0.773)
Sm (0.195, 0.000, 0.572)
Er (0.000, 0.000, 0.500)
Er (0.130, 0.500, 0.364)
Er (0.212, 0.500, 0.897)

Most intense lines, 15° ≤ 2θ ≤ 90°, in order of rising 2θ:
hkl  2θ (°)  intensity
6 0 -1  30.10  46
0 2 0  31.08  57
5 1 1  31.97  100
1 1 -2  32.33  89
6 2 -1  43.81  33
5 3 1  55.86  20


(7)
# K2RbTlHg2
Theoretical powder diffractogram, λ = 1.5418 Å (Cu Kα). Input: a PBE-relaxed structure.

Lattice parameters (Å, degrees): 5.348 10.225 8.978 90.00 90.00 90.00
Space group Pmc2_1 (No. 26)
Unique sites:
K (0.000, 0.084, 0.000)
K (0.500, 0.179, 0.341)
Rb (0.500, 0.439, 0.964)
Tl (0.000, 0.293, 0.626)
Hg (0.000, 0.403, 0.250)
Hg (0.500, 0.149, 0.720)

Most intense lines, 15° ≤ 2θ ≤ 90°, in order of rising 2θ:
hkl  2θ (°)  intensity
0 2 1  19.99  43
1 1 2  27.37  100
1 3 0  31.12  70
1 3 1  32.72  57
2 0 0  33.51  53
1 1 3  35.48  42


(8)
# LaU3C8
Theoretical powder diffractogram, λ = 1.5418 Å (Cu Kα). Input: a PBE-relaxed structure.

Lattice parameters (Å, degrees): 7.8533 7.8533 9.7332 90.00 90.00 120.00
Space group R-3 (No. 148, hexagonal axes)
Unique sites:
La (0.0000, 0.0000, 0.0000)
U (0.0000, 0.5000, 0.0000)
C (0.0000, 0.0000, 0.4306)
C (0.0321, 0.5867, 0.4672)

Most intense lines, 15° ≤ 2θ ≤ 90°, in order of rising 2θ:
hkl  2θ (°)  intensity
0 0 3  27.49  35
0 2 1  27.79  100
2 0 2  32.11  96
0 2 4  45.86  33
2 2 0  46.24  33
4 -2 3  54.64  37